[1]
Starting from a GGA-PBE-relaxed structure, the powder diffraction line list of LiGaSe2 was computed for Cu Kα (weighted mean of Kα1 and Kα2).
Lines closer than 0.1° are merged.

Crystal structure
```
data_LiGaSe2
_cell_length_a 3.9546
_cell_length_b 3.9546
_cell_length_c 6.0797
_cell_angle_alpha 90.00
_cell_angle_beta 90.00
_cell_angle_gamma 90.00
_symmetry_space_group_name_H-M 'P -4 m 2'
_symmetry_Int_Tables_number 115
_symmetry_space_group_name_Hall 'P -4 -2'
loop_
_atom_site_label
_atom_site_fract_x
_atom_site_fract_y
_atom_site_fract_z
_atom_site_occupancy
Li1 0.0000 0.0000 0.0000 1
Ga1 0.5000 0.5000 0.5000 1
Se1 0.0000 0.5000 0.2596 1
```

Largest 10 diffraction maxima, sorted by position, 5 to 70 degrees two-theta:
2θ 14.57, d 6.080, rel. 20
2θ 22.48, d 3.955, rel. 11
2θ 26.89, d 3.315, rel. 100
2θ 32.01, d 2.796, rel. 7
2θ 37.31, d 2.410, rel. 7
2θ 44.00, d 2.058, rel. 46
2θ 45.89, d 1.977, rel. 20
2θ 50.61, d 1.804, rel. 17
2θ 54.00, d 1.698, rel. 28
2θ 66.92, d 1.398, rel. 6


[2]
Starting from a GGA-PBE-relaxed structure, the powder diffraction line list of La5TmIn6 was computed for Cu Kα (weighted mean of Kα1 and Kα2).
Lines closer than 0.1° are merged.

Crystal structure
```
data_La5TmIn6
_cell_length_a 9.5583
_cell_length_b 16.6531
_cell_length_c 5.5409
_cell_angle_alpha 90.00
_cell_angle_beta 125.37
_cell_angle_gamma 90.00
_symmetry_space_group_name_H-M 'C 1 2/m 1'
_symmetry_Int_Tables_number 12
_symmetry_space_group_name_Hall '-C 2y'
loop_
_atom_site_label
_atom_site_fract_x
_atom_site_fract_y
_atom_site_fract_z
_atom_site_occupancy
La1 0.0000 0.0000 0.0000 1
La2 0.0000 0.1629 0.5000 1
La3 0.0000 0.3237 0.0000 1
Tm1 0.0000 0.5000 0.5000 1
In1 0.2259 0.5000 0.2256 1
In2 0.2369 0.3400 0.7367 1
```

Largest 10 diffraction maxima, sorted by position, 5 to 70 degrees two-theta:
2θ 32.28, d 2.773, rel. 51
2θ 32.39, d 2.764, rel. 100
2θ 46.30, d 1.961, rel. 18
2θ 46.61, d 1.949, rel. 9
2θ 57.62, d 1.600, rel. 27
2θ 57.70, d 1.598, rel. 9
2θ 57.84, d 1.594, rel. 17
2θ 67.49, d 1.388, rel. 2
2θ 67.63, d 1.385, rel. 3
2θ 67.80, d 1.382, rel. 10


[3]
Starting from a GGA-PBE-relaxed structure, the powder diffraction line list of TbPrHo5 was computed for Cu Kα (weighted mean of Kα1 and Kα2).
Lines closer than 0.1° are merged.

Crystal structure
```
data_TbPrHo5
_cell_length_a 11.6707
_cell_length_b 6.7948
_cell_length_c 12.1319
_cell_angle_alpha 90.00
_cell_angle_beta 109.79
_cell_angle_gamma 90.00
_symmetry_space_group_name_H-M 'C 1 2/c 1'
_symmetry_Int_Tables_number 15
_symmetry_space_group_name_Hall '-C 2yc'
loop_
_atom_site_label
_atom_site_fract_x
_atom_site_fract_y
_atom_site_fract_z
_atom_site_occupancy
Tb1 0.2500 0.2500 0.0000 1
Pr1 0.0000 0.0280 0.2500 1
Ho1 0.0000 0.4095 0.7500 1
Ho2 0.0789 0.2735 0.4995 1
Ho3 0.2199 0.3644 0.2493 1
```

Largest 10 diffraction maxima, sorted by position, 5 to 70 degrees two-theta:
2θ 26.40, d 3.376, rel. 12
2θ 30.57, d 2.924, rel. 100
2θ 31.00, d 2.885, rel. 61
2θ 31.34, d 2.854, rel. 57
2θ 32.62, d 2.745, rel. 13
2θ 33.32, d 2.689, rel. 26
2θ 35.51, d 2.528, rel. 23
2θ 46.39, d 1.957, rel. 13
2θ 56.63, d 1.625, rel. 13
2θ 56.77, d 1.622, rel. 12


[4]
Starting from a GGA-PBE-relaxed structure, the powder diffraction line list of Ba3Sm3MgTe8 was computed for Cu Kα (weighted mean of Kα1 and Kα2).
Lines closer than 0.1° are merged.

Crystal structure
```
data_Ba3Sm3MgTe8
_cell_length_a 9.1303
_cell_length_b 9.1303
_cell_length_c 23.9962
_cell_angle_alpha 90.00
_cell_angle_beta 90.00
_cell_angle_gamma 120.00
_symmetry_space_group_name_H-M 'R -3 m'
_symmetry_Int_Tables_number 166
_symmetry_space_group_name_Hall '-R 3 2"'
loop_
_atom_site_label
_atom_site_fract_x
_atom_site_fract_y
_atom_site_fract_z
_atom_site_occupancy
Ba1 0.0000 0.5000 0.0000 1
Sm1 0.0000 0.5000 0.5000 1
Mg1 0.0000 0.0000 0.5000 1
Te1 0.0000 0.0000 0.2405 1
Te2 0.0064 0.5032 0.2376 1
```

Largest 10 diffraction maxima, sorted by position, 5 to 70 degrees two-theta:
2θ 11.06, d 7.999, rel. 7
2θ 13.41, d 6.602, rel. 10
2θ 27.01, d 3.301, rel. 100
2θ 37.64, d 2.390, rel. 36
2θ 39.48, d 2.283, rel. 38
2θ 45.35, d 2.000, rel. 5
2θ 48.49, d 1.877, rel. 20
2θ 55.69, d 1.651, rel. 11
2θ 61.67, d 1.504, rel. 13
2θ 64.24, d 1.450, rel. 17


[5]
Starting from a GGA-PBE-relaxed structure, the powder diffraction line list of Ac3Zn5Ni6 was computed for Cu Kα (weighted mean of Kα1 and Kα2).
Lines closer than 0.1° are merged.

Crystal structure
```
data_Ac3Zn5Ni6
_cell_length_a 4.2612
_cell_length_b 9.6092
_cell_length_c 12.6337
_cell_angle_alpha 90.00
_cell_angle_beta 90.00
_cell_angle_gamma 90.00
_symmetry_space_group_name_H-M 'I m m m'
_symmetry_Int_Tables_number 71
_symmetry_space_group_name_Hall '-I 2 2'
loop_
_atom_site_label
_atom_site_fract_x
_atom_site_fract_y
_atom_site_fract_z
_atom_site_occupancy
Ac1 0.0000 0.0000 0.0000 1
Ac2 0.0000 0.0000 0.3145 1
Zn1 0.0000 0.3258 0.3203 1
Zn2 0.0000 0.5000 0.0000 1
Ni1 0.0000 0.2094 0.5000 1
Ni2 0.0000 0.2786 0.1033 1
```

Largest 10 diffraction maxima, sorted by position, 5 to 70 degrees two-theta:
2θ 22.83, d 3.895, rel. 52
2θ 23.06, d 3.857, rel. 45
2θ 29.83, d 2.995, rel. 79
2θ 35.05, d 2.560, rel. 77
2θ 35.20, d 2.549, rel. 69
2θ 35.31, d 2.542, rel. 100
2θ 37.44, d 2.402, rel. 31
2θ 42.43, d 2.131, rel. 53
2θ 56.27, d 1.635, rel. 36
2θ 66.17, d 1.412, rel. 30


[6]
Starting from a GGA-PBE-relaxed structure, the powder diffraction line list of ThCd2Pd5 was computed for Cu Kα (weighted mean of Kα1 and Kα2).
Lines closer than 0.1° are merged.

Crystal structure
```
data_ThCd2Pd5
_cell_length_a 4.2417
_cell_length_b 4.2417
_cell_length_c 16.1972
_cell_angle_alpha 90.00
_cell_angle_beta 90.00
_cell_angle_gamma 90.00
_symmetry_space_group_name_H-M 'I 4/m m m'
_symmetry_Int_Tables_number 139
_symmetry_space_group_name_Hall '-I 4 2'
loop_
_atom_site_label
_atom_site_fract_x
_atom_site_fract_y
_atom_site_fract_z
_atom_site_occupancy
Th1 0.0000 0.0000 0.0000 1
Cd1 0.0000 0.0000 0.2547 1
Pd1 0.0000 0.0000 0.5000 1
Pd2 0.0000 0.5000 0.1273 1
```

Largest 10 diffraction maxima, sorted by position, 5 to 70 degrees two-theta:
2θ 10.92, d 8.099, rel. 3
2θ 21.66, d 4.103, rel. 4
2θ 26.73, d 3.335, rel. 4
2θ 31.82, d 2.813, rel. 2
2θ 37.31, d 2.410, rel. 100
2θ 42.63, d 2.121, rel. 34
2θ 44.61, d 2.031, rel. 2
2θ 44.76, d 2.025, rel. 15
2θ 61.87, d 1.500, rel. 11
2θ 63.53, d 1.464, rel. 20


[7]
Starting from a GGA-PBE-relaxed structure, the powder diffraction line list of Na2Sm2Cl7 was computed for Cu Kα (weighted mean of Kα1 and Kα2).
Lines closer than 0.1° are merged.

Crystal structure
```
data_Na2Sm2Cl7
_cell_length_a 11.5941
_cell_length_b 8.5529
_cell_length_c 6.8406
_cell_angle_alpha 90.00
_cell_angle_beta 95.17
_cell_angle_gamma 90.00
_symmetry_space_group_name_H-M 'C 1 2/m 1'
_symmetry_Int_Tables_number 12
_symmetry_space_group_name_Hall '-C 2y'
loop_
_atom_site_label
_atom_site_fract_x
_atom_site_fract_y
_atom_site_fract_z
_atom_site_occupancy
Na1 0.0000 0.2314 0.0000 1
Sm1 0.2330 0.5000 0.4315 1
Cl1 0.0000 0.5000 0.5000 1
Cl2 0.0789 0.0000 0.7601 1
Cl3 0.2023 0.2067 0.2617 1
```

Largest 10 diffraction maxima, sorted by position, 5 to 70 degrees two-theta:
2θ 12.99, d 6.813, rel. 100
2θ 15.35, d 5.773, rel. 81
2θ 18.83, d 4.714, rel. 48
2θ 19.23, d 4.614, rel. 66
2θ 24.58, d 3.622, rel. 76
2θ 29.89, d 2.989, rel. 46
2θ 32.58, d 2.748, rel. 38
2θ 36.12, d 2.487, rel. 35
2θ 38.98, d 2.310, rel. 33
2θ 42.56, d 2.124, rel. 33


[8]
Starting from a GGA-PBE-relaxed structure, the powder diffraction line list of Pr6As3Se2S was computed for Cu Kα (weighted mean of Kα1 and Kα2).
Lines closer than 0.1° are merged.

Crystal structure
```
data_Pr6As3Se2S
_cell_length_a 18.6157
_cell_length_b 4.2684
_cell_length_c 8.5314
_cell_angle_alpha 90.00
_cell_angle_beta 103.35
_cell_angle_gamma 90.00
_symmetry_space_group_name_H-M 'C 1 2/m 1'
_symmetry_Int_Tables_number 12
_symmetry_space_group_name_Hall '-C 2y'
loop_
_atom_site_label
_atom_site_fract_x
_atom_site_fract_y
_atom_site_fract_z
_atom_site_occupancy
Pr1 0.0025 0.0000 0.2521 1
Pr2 0.1641 0.5000 0.0890 1
Pr3 0.1656 0.5000 0.5762 1
As1 0.0000 0.5000 0.0000 1
As2 0.1677 0.0000 0.3340 1
Se1 0.1663 0.0000 0.8333 1
S1 0.0000 0.5000 0.5000 1
```

Largest 10 diffraction maxima, sorted by position, 5 to 70 degrees two-theta:
2θ 25.56, d 3.485, rel. 21
2θ 29.60, d 3.018, rel. 100
2θ 42.36, d 2.134, rel. 75
2θ 50.13, d 1.820, rel. 10
2θ 52.50, d 1.743, rel. 20
2θ 52.59, d 1.740, rel. 7
2θ 61.45, d 1.509, rel. 12
2θ 67.64, d 1.385, rel. 3
2θ 69.66, d 1.350, rel. 28
2θ 69.72, d 1.349, rel. 6


[9]
Starting from a GGA-PBE-relaxed structure, the powder diffraction line list of Pm3PuRh4 was computed for Cu Kα (weighted mean of Kα1 and Kα2).
Lines closer than 0.1° are merged.

Crystal structure
```
data_Pm3PuRh4
_cell_length_a 4.9475
_cell_length_b 4.9475
_cell_length_c 13.9761
_cell_angle_alpha 90.00
_cell_angle_beta 90.00
_cell_angle_gamma 90.00
_symmetry_space_group_name_H-M 'I 4/m m m'
_symmetry_Int_Tables_number 139
_symmetry_space_group_name_Hall '-I 4 2'
loop_
_atom_site_label
_atom_site_fract_x
_atom_site_fract_y
_atom_site_fract_z
_atom_site_occupancy
Pm1 0.0000 0.0000 0.0000 1
Pm2 0.0000 0.0000 0.2515 1
Pu1 0.0000 0.0000 0.5000 1
Rh1 0.0000 0.5000 0.1217 1
```

Largest 10 diffraction maxima, sorted by position, 5 to 70 degrees two-theta:
2θ 12.67, d 6.988, rel. 2
2θ 19.03, d 4.664, rel. 2
2θ 25.47, d 3.497, rel. 6
2θ 26.28, d 3.392, rel. 1
2θ 36.33, d 2.473, rel. 100
2θ 41.31, d 2.185, rel. 1
2θ 44.90, d 2.019, rel. 2
2θ 52.32, d 1.748, rel. 18
2θ 59.07, d 1.564, rel. 3
2θ 65.37, d 1.428, rel. 36


[10]
Starting from a GGA-PBE-relaxed structure, the powder diffraction line list of YTmMgCu was computed for Cu Kα (weighted mean of Kα1 and Kα2).
Lines closer than 0.1° are merged.

Crystal structure
```
data_YTmMgCu
_cell_length_a 3.4683
_cell_length_b 3.4683
_cell_length_c 7.9812
_cell_angle_alpha 90.00
_cell_angle_beta 90.00
_cell_angle_gamma 90.00
_symmetry_space_group_name_H-M 'P 4 m m'
_symmetry_Int_Tables_number 99
_symmetry_space_group_name_Hall 'P 4 -2'
loop_
_atom_site_label
_atom_site_fract_x
_atom_site_fract_y
_atom_site_fract_z
_atom_site_occupancy
Y1 0.0000 0.0000 0.0000 1
Tm1 0.0000 0.0000 0.4218 1
Mg1 0.5000 0.5000 0.7078 1
Cu1 0.5000 0.5000 0.2230 1
```

Largest 10 diffraction maxima, sorted by position, 5 to 70 degrees two-theta:
2θ 11.09, d 7.981, rel. 58
2θ 22.28, d 3.991, rel. 14
2θ 25.69, d 3.468, rel. 27
2θ 34.25, d 2.618, rel. 100
2θ 36.64, d 2.452, rel. 50
2θ 38.40, d 2.344, rel. 12
2θ 42.84, d 2.111, rel. 27
2θ 52.79, d 1.734, rel. 17
2θ 59.75, d 1.548, rel. 11
2θ 64.45, d 1.446, rel. 31


[11]
Starting from a GGA-PBE-relaxed structure, the powder diffraction line list of Sm3Pu5S8 was computed for Cu Kα (weighted mean of Kα1 and Kα2).
Lines closer than 0.1° are merged.

Crystal structure
```
data_Sm3Pu5S8
_cell_length_a 7.9561
_cell_length_b 7.9561
_cell_length_c 19.5069
_cell_angle_alpha 90.00
_cell_angle_beta 90.00
_cell_angle_gamma 120.00
_symmetry_space_group_name_H-M 'R -3 m'
_symmetry_Int_Tables_number 166
_symmetry_space_group_name_Hall '-R 3 2"'
loop_
_atom_site_label
_atom_site_fract_x
_atom_site_fract_y
_atom_site_fract_z
_atom_site_occupancy
Sm1 0.0000 0.5000 0.0000 1
Pu1 0.0000 0.0000 0.0000 1
Pu2 0.0000 0.0000 0.5000 1
Pu3 0.0000 0.5000 0.5000 1
S1 0.0000 0.0000 0.2482 1
S2 0.0029 0.5015 0.7515 1
```

Largest 10 diffraction maxima, sorted by position, 5 to 70 degrees two-theta:
2θ 13.62, d 6.501, rel. 6
2θ 26.27, d 3.393, rel. 4
2θ 27.45, d 3.249, rel. 98
2θ 31.80, d 2.814, rel. 100
2θ 34.74, d 2.582, rel. 2
2θ 45.59, d 1.990, rel. 74
2θ 47.82, d 1.902, rel. 2
2θ 54.05, d 1.697, rel. 49
2θ 56.66, d 1.625, rel. 26
2θ 66.45, d 1.407, rel. 12